1.
This entry pairs a crystal structure of Gd2W4O15 with its simulated powder XRD pattern. Radiation: copper Kα. Structure: a DFT-relaxed cell (GGA+U, the Materials Project).

Main lines, by angle (10 to 90 degrees two-theta):
22.75°, I = 100
24.63°, I = 63
24.75°, I = 33
25.45°, I = 39
26.15°, I = 28
26.68°, I = 34
28.47°, I = 33
29.10°, I = 44
30.12°, I = 27
32.27°, I = 36

Crystal structure
```
data_Gd2W4O15
_space_group_name_H-M_alt 'P -1'
_space_group_IT_number 2
_cell_length_a 7.419
_cell_length_b 7.574
_cell_length_c 11.802
_cell_angle_alpha 88.72
_cell_angle_beta 83.61
_cell_angle_gamma 84.01
loop_
_space_group_symop_operation_xyz
'x,y,z'
'-x,-y,-z'
loop_
_atom_site_label
_atom_site_fract_x
_atom_site_fract_y
_atom_site_fract_z
_atom_site_occupancy
Gd1 0.182 0.092 0.223 1
Gd2 0.258 0.592 0.780 1
W1 0.068 0.755 0.474 1
W2 0.224 0.574 0.129 1
W3 0.272 0.077 0.871 1
W4 0.402 0.331 0.468 1
O1 0.068 0.406 0.181 1
O2 0.086 0.737 0.625 1
O3 0.126 0.960 0.404 1
O4 0.146 0.907 0.813 1
O5 0.158 0.792 0.189 1
O6 0.166 0.282 0.556 1
O7 0.202 0.103 0.021 1
O8 0.207 0.567 0.410 1
O9 0.220 0.600 0.977 1
O10 0.237 0.294 0.803 1
O11 0.369 0.230 0.335 1
O12 0.413 0.520 0.598 1
O13 0.450 0.491 0.157 1
O14 0.460 0.833 0.467 1
O15 0.491 0.003 0.152 1
```

2.
This entry pairs a crystal structure of K2CrCuF6 with its simulated powder XRD pattern. Radiation: copper Kα. Structure: a DFT-relaxed cell (GGA+U, the Materials Project).

Main lines, by angle (10 to 90 degrees two-theta):
21.44°, I = 30
30.50°, I = 100
37.59°, I = 7
43.68°, I = 64
49.15°, I = 11
54.20°, I = 35
63.48°, I = 34
72.05°, I = 15
80.22°, I = 10
88.20°, I = 17

Crystal structure
```
data_K2CrCuF6
_space_group_name_H-M_alt 'F m -3 m'
_space_group_IT_number 225
_space_group_name_Hall '-F 4 2 3'
_cell_length_a 8.290
_cell_length_b 8.290
_cell_length_c 8.290
_cell_angle_alpha 90.00
_cell_angle_beta 90.00
_cell_angle_gamma 90.00
loop_
_atom_site_label
_atom_site_fract_x
_atom_site_fract_y
_atom_site_fract_z
_atom_site_occupancy
K1 0.250 0.250 0.250 1
Cr1 0.000 0.000 0.000 1
Cu1 0.000 0.000 0.500 1
F1 0.000 0.000 0.237 1
```

3.
This entry pairs a crystal structure of Li9Mn2Co5O16 with its simulated powder XRD pattern. Radiation: copper Kα. Structure: a DFT-relaxed cell (GGA+U, the Materials Project).

Main lines, by angle (10 to 90 degrees two-theta):
18.53°, I = 100
34.93°, I = 19
36.39°, I = 12
36.83°, I = 12
42.14°, I = 32
44.37°, I = 27
44.79°, I = 26
62.48°, I = 8
63.04°, I = 8
63.26°, I = 15

Crystal structure
```
data_Li9Mn2Co5O16
_space_group_name_H-M_alt 'P -1'
_space_group_IT_number 2
_cell_length_a 5.035
_cell_length_b 5.887
_cell_length_c 9.767
_cell_angle_alpha 100.57
_cell_angle_beta 93.35
_cell_angle_gamma 92.76
loop_
_space_group_symop_operation_xyz
'x,y,z'
'-x,-y,-z'
loop_
_atom_site_label
_atom_site_fract_x
_atom_site_fract_y
_atom_site_fract_z
_atom_site_occupancy
Li1 0.000 0.000 0.000 1
Li2 0.124 0.182 0.753 1
Li3 0.124 0.697 0.756 1
Li4 0.363 0.064 0.243 1
Li5 0.369 0.566 0.245 1
Mn1 0.250 0.372 0.500 1
Co1 0.000 0.500 0.000 1
Co2 0.251 0.876 0.499 1
Co3 0.494 0.245 0.001 1
O1 0.046 0.107 0.381 1
O2 0.053 0.615 0.380 1
O3 0.197 0.766 0.108 1
O4 0.207 0.283 0.112 1
O5 0.334 0.464 0.892 1
O6 0.346 0.970 0.892 1
O7 0.444 0.641 0.618 1
O8 0.450 0.133 0.616 1
```

4.
This entry pairs a crystal structure of Ca3Mn2O7 with its simulated powder XRD pattern. Radiation: copper Kα. Structure: a DFT-relaxed cell (GGA+U, the Materials Project).

Main lines, by angle (10 to 90 degrees two-theta):
18.41°, I = 18
23.81°, I = 12
32.93°, I = 31
33.06°, I = 100
33.59°, I = 35
47.15°, I = 20
47.75°, I = 52
58.89°, I = 22
59.72°, I = 17
69.37°, I = 19

Crystal structure
```
data_Ca3Mn2O7
_space_group_name_H-M_alt 'C m c m'
_space_group_IT_number 63
_space_group_name_Hall '-C 2c 2'
_cell_length_a 19.274
_cell_length_b 5.440
_cell_length_c 5.336
_cell_angle_alpha 90.00
_cell_angle_beta 90.00
_cell_angle_gamma 90.00
loop_
_atom_site_label
_atom_site_fract_x
_atom_site_fract_y
_atom_site_fract_z
_atom_site_occupancy
Ca1 0.000 0.241 0.250 1
Ca2 0.186 0.237 0.250 1
Mn1 0.099 0.252 0.750 1
O1 0.000 0.332 0.750 1
O2 0.082 0.000 0.000 1
O3 0.116 0.500 0.000 1
O4 0.197 0.190 0.750 1
```

5.
This entry pairs a crystal structure of Li4Co2P3O12 with its simulated powder XRD pattern. Radiation: copper Kα. Structure: a DFT-relaxed cell (GGA+U, the Materials Project).

Main lines, by angle (10 to 90 degrees two-theta):
14.12°, I = 76
14.28°, I = 66
19.40°, I = 80
19.51°, I = 88
19.62°, I = 65
23.91°, I = 100
24.37°, I = 75
31.02°, I = 82
31.29°, I = 85
31.73°, I = 84

Crystal structure
```
data_Li4Co2P3O12
_space_group_name_H-M_alt 'P -1'
_space_group_IT_number 2
_cell_length_a 8.339
_cell_length_b 8.385
_cell_length_c 9.110
_cell_angle_alpha 116.56
_cell_angle_beta 91.23
_cell_angle_gamma 118.76
loop_
_space_group_symop_operation_xyz
'x,y,z'
'-x,-y,-z'
loop_
_atom_site_label
_atom_site_fract_x
_atom_site_fract_y
_atom_site_fract_z
_atom_site_occupancy
Li1 0.071 0.380 0.103 1
Li2 0.213 0.679 0.416 1
Li3 0.271 0.190 0.861 1
Li4 0.336 0.062 0.145 1
Co1 0.145 0.287 0.441 1
Co2 0.352 0.692 0.040 1
P1 0.047 0.792 0.253 1
P2 0.245 0.798 0.761 1
P3 0.455 0.502 0.252 1
O1 0.024 0.804 0.424 1
O2 0.119 0.881 0.742 1
O3 0.149 0.351 0.894 1
O4 0.151 0.012 0.272 1
O5 0.170 0.692 0.200 1
O6 0.185 0.595 0.589 1
O7 0.205 0.752 0.910 1
O8 0.254 0.429 0.283 1
O9 0.401 0.401 0.578 1
O10 0.444 0.302 0.104 1
O11 0.459 0.971 0.807 1
O12 0.493 0.332 0.801 1
```

6.
This entry pairs a crystal structure of LiFeBO3 with its simulated powder XRD pattern. Radiation: copper Kα. Structure: a DFT-relaxed cell (GGA+U, the Materials Project).

Main lines, by angle (10 to 90 degrees two-theta):
21.68°, I = 100
31.04°, I = 12
33.39°, I = 18
35.91°, I = 52
36.02°, I = 26
38.02°, I = 30
44.19°, I = 14
48.01°, I = 13
48.15°, I = 13
58.59°, I = 11

Crystal structure
```
data_LiFeBO3
_space_group_name_H-M_alt 'P 1'
_space_group_IT_number 1
_cell_length_a 6.302
_cell_length_b 8.199
_cell_length_c 8.772
_cell_angle_alpha 117.75
_cell_angle_beta 110.85
_cell_angle_gamma 90.24
loop_
_space_group_symop_operation_xyz
'x,y,z'
loop_
_atom_site_label
_atom_site_fract_x
_atom_site_fract_y
_atom_site_fract_z
_atom_site_occupancy
Li1 0.000 0.000 0.000 1
Li2 0.129 0.579 0.264 1
Li3 0.288 0.314 0.580 1
Li4 0.499 0.999 0.000 1
Li5 0.635 0.579 0.265 1
Li6 0.792 0.314 0.579 1
Fe1 0.072 0.673 0.647 1
Fe2 0.206 0.290 0.912 1
Fe3 0.396 0.931 0.291 1
Fe4 0.571 0.667 0.644 1
Fe5 0.699 0.284 0.899 1
Fe6 0.894 0.936 0.288 1
B1 0.306 0.964 0.614 1
B2 0.391 0.297 0.282 1
B3 0.474 0.631 0.949 1
B4 0.807 0.964 0.615 1
B5 0.890 0.299 0.280 1
B6 0.975 0.631 0.948 1
O1 0.070 0.738 0.143 1
O2 0.249 0.043 0.499 1
O3 0.265 0.769 0.536 1
O4 0.336 0.102 0.173 1
O5 0.347 0.406 0.196 1
O6 0.404 0.080 0.810 1
O7 0.422 0.719 0.842 1
O8 0.430 0.435 0.860 1
O9 0.490 0.384 0.478 1
O10 0.571 0.738 0.144 1
O11 0.751 0.044 0.499 1
O12 0.765 0.769 0.536 1
O13 0.835 0.102 0.172 1
O14 0.846 0.407 0.193 1
O15 0.905 0.080 0.810 1
O16 0.922 0.719 0.841 1
O17 0.931 0.436 0.859 1
O18 0.990 0.385 0.476 1
```